Starting from a DFT-relaxed cell (PBE+U, Alexandria), the XRD peak list of Er2HgWO8 was simulated for Cu Kα (weighted mean of Kα1 and Kα2).
Kinematic intensities with the Lorentz-polarization factor, no thermal factor.

Peak list (10 most intense, 2θ from 5° to 70°, in order of rising 2θ)
- 24.6°, d 3.613, rel. 98
- 26.2°, d 3.398, rel. 82
- 30.6°, d 2.917, rel. 100
- 32.4°, d 2.762, rel. 78
- 36.3°, d 2.476, rel. 50
- 46.0°, d 1.972, rel. 34
- 49.1°, d 1.855, rel. 33
- 49.8°, d 1.833, rel. 31
- 50.3°, d 1.813, rel. 28
- 63.9°, d 1.458, rel. 28

Cell: 4.970 4.970 6.947 Å, 93.54 93.54 86.28°
Atoms (fractional coordinates):
Er1 0.015 0.015 0.246
Er2 0.985 0.985 0.754
Hg1 0.500 0.500 0.500
W1 0.500 0.500 0.000
O1 0.198 0.802 0.500
O2 0.214 0.786 0.000
O3 0.288 0.288 0.824
O4 0.340 0.340 0.230
O5 0.660 0.660 0.770
O6 0.712 0.712 0.176
O7 0.786 0.214 0.000
O8 0.802 0.198 0.500